Theoretical powder diffractogram of NdEu2BeO5 for copper Kα, from a GGA-PBE-relaxed structure.
Neutral-atom scattering factors, no anomalous dispersion.

Most intense lines, 10 to 80 degrees two-theta, most intense first:
hkl 3 0 1, d 2.871, rel. 1000
hkl 1 2 1, d 3.019, rel. 831
hkl 2 2 0, d 2.895, rel. 624
hkl 1 2 2, d 2.363, rel. 529
hkl 1 0 2, d 3.110, rel. 496
hkl 4 0 1, d 2.251, rel. 467
hkl 1 1 2, d 2.860, rel. 322
hkl 2 2 3, d 1.748, rel. 301
hkl 3 4 1, d 1.536, rel. 238
hkl 2 2 2, d 2.173, rel. 224
hkl 0 4 0, d 1.817, rel. 218
hkl 0 0 2, d 3.289, rel. 212

Cell and atoms:
```
data_NdEu2BeO5
_chemical_formula_sum 'Nd4 Eu8 Be4 O20'
_cell_length_a 9.5730
_cell_length_b 7.2699
_cell_length_c 6.5777
_cell_angle_alpha 90.00
_cell_angle_beta 90.00
_cell_angle_gamma 90.00
_space_group_name_H-M_alt 'P n m a'
_space_group_IT_number 62
loop_
_space_group_symop_operation_xyz
'x,y,z'
'-x,-y,-z'
'-x+1/2,-y,z+1/2'
'x+1/2,y,-z+1/2'
'x+1/2,-y+1/2,-z+1/2'
'-x+1/2,y+1/2,z+1/2'
'-x,y+1/2,-z'
'x,-y+1/2,z'
loop_
_atom_site_label
_atom_site_type_symbol
_atom_site_fract_x
_atom_site_fract_y
_atom_site_fract_z
Nd1 Nd 0.0242 0.2500 0.0959
Eu1 Eu 0.1734 0.0229 0.5795
Be1 Be 0.0998 0.7500 0.3084
O1 O 0.0093 0.7500 0.5210
O2 O 0.0671 0.5591 0.1914
O3 O 0.2234 0.7500 0.8353
O4 O 0.2277 0.2500 0.8645
```